[1]
The following is a theoretical powder X-ray diffraction pattern of InBi. It was derived from a structure optimized by DFT (GGA-PBE), using Cu Kα.
Intensities are scaled so that the largest is 100.

Structural model:
```
data_InBi
_cell_length_a 4.9856
_cell_length_b 4.9856
_cell_length_c 4.9848
_cell_angle_alpha 90.00
_cell_angle_beta 90.00
_cell_angle_gamma 90.00
_symmetry_space_group_name_H-M 'P 4/n m m'
_symmetry_Int_Tables_number 129
loop_
_symmetry_equiv_pos_as_xyz
'x,y,z'
'-x,-y,-z'
'-y+1/2,x,z'
'y+1/2,-x,-z'
'-x+1/2,-y+1/2,z'
'x+1/2,y+1/2,-z'
'y,-x+1/2,z'
'-y,x+1/2,-z'
'x+1/2,-y,-z'
'-x+1/2,y,z'
'-y,-x,-z'
'y,x,z'
'-x,y+1/2,-z'
'x,-y+1/2,z'
'y+1/2,x+1/2,-z'
'-y+1/2,-x+1/2,z'
loop_
_atom_site_label
_atom_site_fract_x
_atom_site_fract_y
_atom_site_fract_z
In1 0.2500 0.7500 0.0000
Bi1 0.2500 0.2500 0.3975
```

Main lines, most intense first (2θ from 5° to 70°):
| (hkl) | Position (°2θ) | Rel. int. |
| --- | --- | --- |
| 1 1 1 | 31.1 | 100.0 |
| 2 0 0 | 36.0 | 51.0 |
| 1 0 1 | 25.3 | 40.1 |
| 3 1 1 | 61.7 | 28.7 |
| 1 0 2 | 40.5 | 26.1 |
| 2 2 0 | 51.9 | 24.8 |
| 2 1 2 | 55.3 | 23.1 |
| 2 1 1 | 44.5 | 16.3 |
| 1 0 3 | 58.6 | 13.4 |
| 3 0 2 | 67.8 | 10.3 |


[2]
The following is a theoretical powder X-ray diffraction pattern of BaY3Cl11. It was derived from a structure optimized by DFT (GGA-PBE), using Cu Kα.
Intensities are scaled so that the largest is 100.

Structural model:
```
data_BaY3Cl11
_cell_length_a 7.4376
_cell_length_b 9.4024
_cell_length_c 35.1122
_cell_angle_alpha 90.00
_cell_angle_beta 90.00
_cell_angle_gamma 90.00
_symmetry_space_group_name_H-M 'P 21 21 21'
_symmetry_Int_Tables_number 19
loop_
_symmetry_equiv_pos_as_xyz
'x,y,z'
'-x+1/2,-y,z+1/2'
'x+1/2,-y+1/2,-z'
'-x,y+1/2,-z+1/2'
loop_
_atom_site_label
_atom_site_fract_x
_atom_site_fract_y
_atom_site_fract_z
Ba1 0.2290 0.0977 0.2893
Y1 0.2329 0.0601 0.6498
Y2 0.2407 0.4119 0.5319
Y3 0.2433 0.7473 0.4113
Cl1 0.0166 0.2300 0.4983
Cl2 0.0322 0.4054 0.0654
Cl3 0.0345 0.5496 0.3788
Cl4 0.0425 0.0521 0.9407
Cl5 0.0478 0.8874 0.6052
Cl6 0.0714 0.6726 0.8270
Cl7 0.1076 0.7625 0.1991
Cl8 0.2228 0.8695 0.7052
Cl9 0.2332 0.5864 0.4732
Cl10 0.2432 0.7457 0.0941
Cl11 0.2504 0.1404 0.8431
```

Main lines, most intense first (2θ from 5° to 70°):
| (hkl) | Position (°2θ) | Rel. int. |
| --- | --- | --- |
| 1 1 2 | 16.0 | 100.0 |
| 1 1 3 | 17.0 | 82.0 |
| 0 1 5 | 15.8 | 51.0 |
| 0 1 6 | 17.9 | 45.3 |
| 1 3 9 | 38.8 | 33.0 |
| 0 2 11 | 33.9 | 24.5 |
| 2 2 5 | 33.3 | 23.3 |
| 3 1 3 | 38.3 | 21.7 |
| 2 2 6 | 34.4 | 19.0 |
| 2 0 0 | 23.9 | 18.7 |


[3]
The following is a theoretical powder X-ray diffraction pattern of Mg6NbBiO8. It was derived from a structure optimized by DFT (GGA-PBE), using Cu Kα.
Intensities are scaled so that the largest is 100.

Structural model:
```
data_Mg6NbBiO8
_cell_length_a 4.5688
_cell_length_b 4.5688
_cell_length_c 9.0852
_cell_angle_alpha 90.00
_cell_angle_beta 90.00
_cell_angle_gamma 90.00
_symmetry_space_group_name_H-M 'P 4/m m m'
_symmetry_Int_Tables_number 123
_symmetry_space_group_name_Hall '-P 4 2'
loop_
_atom_site_label
_atom_site_fract_x
_atom_site_fract_y
_atom_site_fract_z
Mg1 0.0000 0.0000 0.0000
Mg2 0.0000 0.0000 0.5000
Mg3 0.0000 0.5000 0.2392
Nb1 0.5000 0.5000 0.0000
Bi1 0.5000 0.5000 0.5000
O1 0.0000 0.0000 0.2513
O2 0.0000 0.5000 0.0000
O3 0.0000 0.5000 0.5000
O4 0.5000 0.5000 0.2397
```

Main lines, most intense first (2θ from 5° to 70°):
| (hkl) | Position (°2θ) | Rel. int. |
| --- | --- | --- |
| 1 0 2 | 27.7 | 100.0 |
| 1 0 0 | 19.4 | 77.1 |
| 2 0 0 | 39.4 | 71.4 |
| 1 1 2 | 34.1 | 64.5 |
| 2 0 4 | 57.2 | 43.9 |
| 0 0 2 | 19.5 | 38.4 |
| 2 0 2 | 44.4 | 38.3 |
| 0 0 4 | 39.7 | 34.5 |
| 2 1 2 | 48.9 | 28.9 |
| 0 0 1 | 9.7 | 24.7 |


[4]
The following is a theoretical powder X-ray diffraction pattern of Pr5S9. It was derived from a structure optimized by DFT (GGA-PBE), using Cu Kα.
Intensities are scaled so that the largest is 100.

Structural model:
```
data_Pr5S9
_cell_length_a 23.8167
_cell_length_b 5.5739
_cell_length_c 10.0086
_cell_angle_alpha 90.00
_cell_angle_beta 98.19
_cell_angle_gamma 90.00
_symmetry_space_group_name_H-M 'C 1 2 1'
_symmetry_Int_Tables_number 5
loop_
_symmetry_equiv_pos_as_xyz
'x,y,z'
'-x,y,-z'
'x+1/2,y+1/2,z'
'-x+1/2,y+1/2,-z'
loop_
_atom_site_label
_atom_site_fract_x
_atom_site_fract_y
_atom_site_fract_z
Pr1 0.0075 0.0000 0.2353
Pr2 0.0946 0.4901 0.9586
Pr3 0.1050 0.5027 0.4276
Pr4 0.1994 0.0017 0.1515
Pr5 0.2037 0.0162 0.6315
S1 0.0000 0.2511 0.5000
S2 0.0000 0.7515 0.5000
S3 0.0237 0.5008 0.1787
S4 0.0762 0.9935 0.0119
S5 0.0873 0.2507 0.6730
S6 0.1252 0.0006 0.3738
S7 0.1779 0.5006 0.2134
S8 0.1889 0.7547 0.8760
S9 0.1947 0.2495 0.8878
S10 0.2201 0.5155 0.5775
```

Main lines, most intense first (2θ from 5° to 70°):
| (hkl) | Position (°2θ) | Rel. int. |
| --- | --- | --- |
| 5 1 0 | 24.7 | 100.0 |
| 9 1 -2 | 40.0 | 45.8 |
| 4 0 -2 | 21.7 | 32.7 |
| 10 0 0 | 38.2 | 31.9 |
| 4 2 -2 | 39.1 | 31.2 |
| 6 2 2 | 45.2 | 28.6 |
| 6 0 2 | 31.0 | 25.3 |
| 0 2 0 | 32.1 | 21.8 |
| 6 0 -3 | 32.9 | 18.8 |
| 15 1 0 | 61.3 | 17.8 |